# 1
The following is a simulated PXRD pattern of PrSi2AgPd5. It was derived from DFT lattice parameters and positions (PBE), using a wavelength of 1.5418 Å.
Lines closer than 0.1° are merged.

Main lines, in order of rising 2θ (10° ≤ 2θ ≤ 90°):
| 2θ/deg | d [Å] | intensity |
| --- | --- | --- |
| 29.1 | 3.067 | 6 |
| 36.4 | 2.470 | 100 |
| 39.8 | 2.264 | 17 |
| 42.9 | 2.109 | 5 |
| 43.4 | 2.084 | 35 |
| 45.6 | 1.989 | 3 |
| 60.4 | 1.533 | 19 |
| 63.1 | 1.474 | 11 |
| 64.8 | 1.439 | 2 |
| 70.0 | 1.343 | 14 |
| 75.0 | 1.266 | 23 |
| 77.2 | 1.235 | 9 |

```
9
Lattice="4.169 0.000 0.000 0.000 4.169 0.000 0.000 0.000 9.054" Properties=species:S:1:pos:R:3 pbc="T T T"
Pr 0.000 0.000 0.000
Si 2.084 2.084 3.378
Si 2.084 2.084 5.676
Ag 0.000 0.000 4.527
Pd 0.000 2.084 2.211
Pd 0.000 2.084 6.843
Pd 2.084 0.000 2.211
Pd 2.084 0.000 6.843
Pd 2.084 2.084 0.000
```


# 2
The following is a simulated PXRD pattern of AgPd5Pt2. It was derived from DFT lattice parameters and positions (PBE), using a wavelength of 1.5418 Å.
Lines closer than 0.1° are merged.

Main lines, in order of rising 2θ (10° ≤ 2θ ≤ 90°):
| 2θ/deg | d [Å] | intensity |
| --- | --- | --- |
| 12.8 | 6.900 | 20 |
| 23.0 | 3.859 | 12 |
| 25.1 | 3.545 | 14 |
| 37.8 | 2.377 | 13 |
| 38.4 | 2.343 | 16 |
| 38.7 | 2.329 | 22 |
| 39.2 | 2.300 | 53 |
| 42.8 | 2.112 | 100 |
| 43.0 | 2.102 | 49 |
| 73.5 | 1.288 | 19 |
| 81.6 | 1.180 | 12 |
| 84.2 | 1.150 | 13 |

```
16
Lattice="2.750 0.000 0.000 0.000 13.799 0.000 -1.363 0.000 7.091" Properties=species:S:1:pos:R:3 pbc="T T T"
Ag -0.004 3.450 1.542
Ag 1.391 10.349 5.549
Pd 0.005 1.174 3.157
Pd 0.005 5.726 3.157
Pd 0.011 3.450 4.690
Pd 0.012 8.033 6.307
Pd 0.012 12.666 6.307
Pd 1.375 1.133 0.784
Pd 1.375 5.767 0.784
Pd 1.377 10.349 2.401
Pd 1.382 8.074 3.933
Pd 1.382 12.625 3.933
Pt 0.004 8.127 1.564
Pt 0.004 12.572 1.564
Pt 1.383 1.227 5.527
Pt 1.383 5.673 5.527
```